ErSiTc4Ge: simulated PXRD pattern (Cu Kα (weighted mean of Kα1 and Kα2)), based on a cell relaxed with PBE.
No peak broadening, texture or thermal motion is included.

Crystal structure
```
data_ErSiTc4Ge
_cell_length_a 4.064
_cell_length_b 4.095
_cell_length_c 14.055
_cell_angle_alpha 90.00
_cell_angle_beta 90.00
_cell_angle_gamma 90.00
_space_group_name_H-M_alt 'A m m 2'
_space_group_IT_number 38
_space_group_name_Hall 'A 2 -2'
loop_
_atom_site_label
_atom_site_type_symbol
_atom_site_fract_x
_atom_site_fract_y
_atom_site_fract_z
Er1 Er 0.000 0.000 0.000
Si1 Si 0.500 0.000 0.414
Tc1 Tc 0.000 0.000 0.311
Tc2 Tc 0.000 0.000 0.701
Tc3 Tc 0.500 0.000 0.195
Tc4 Tc 0.500 0.000 0.817
Ge1 Ge 0.500 0.000 0.587
```

Largest 10 diffraction maxima, by angle, 2θ from 5° to 70°:
2θ/deg, I/Imax
12.60, 10
25.33, 12
33.72, 16
36.58, 100
38.86, 10
44.24, 24
44.60, 29
45.03, 20
55.78, 10
64.63, 19

=====

U: simulated PXRD pattern (Cu Kα (weighted mean of Kα1 and Kα2)), based on a cell relaxed with PBE.
No peak broadening, texture or thermal motion is included.

Crystal structure
```
data_U
_cell_length_a 2.754
_cell_length_b 2.754
_cell_length_c 5.263
_cell_angle_alpha 90.00
_cell_angle_beta 90.00
_cell_angle_gamma 90.00
_space_group_name_H-M_alt 'I 4/m m m'
_space_group_IT_number 139
_space_group_name_Hall '-I 4 2'
loop_
_atom_site_label
_atom_site_type_symbol
_atom_site_fract_x
_atom_site_fract_y
_atom_site_fract_z
U1 U 0.000 0.000 0.000
```

Largest 6 diffraction maxima, by angle, 2θ from 5° to 70°:
2θ/deg, I/Imax
34.07, 31
36.84, 100
46.64, 26
59.01, 26
62.81, 22
68.09, 9

=====

GdDy2ErMg2: simulated PXRD pattern (Cu Kα (weighted mean of Kα1 and Kα2)), based on a cell relaxed with PBE.
No peak broadening, texture or thermal motion is included.

Crystal structure
```
data_GdDy2ErMg2
_cell_length_a 5.468
_cell_length_b 3.660
_cell_length_c 17.219
_cell_angle_alpha 90.00
_cell_angle_beta 90.00
_cell_angle_gamma 90.00
_space_group_name_H-M_alt 'A m m 2'
_space_group_IT_number 38
_space_group_name_Hall 'A 2 -2'
loop_
_atom_site_label
_atom_site_type_symbol
_atom_site_fract_x
_atom_site_fract_y
_atom_site_fract_z
Gd1 Gd 0.000 0.000 0.000
Dy1 Dy 0.000 0.000 0.680
Dy2 Dy 0.500 0.000 0.867
Er1 Er 0.500 0.000 0.547
Mg1 Mg 0.000 0.000 0.339
Mg2 Mg 0.500 0.000 0.208
```

Largest 10 diffraction maxima, by angle, 2θ from 5° to 70°:
2θ/deg, I/Imax
10.27, 19
19.23, 12
24.87, 18
26.35, 27
31.17, 20
32.75, 30
33.34, 100
35.32, 16
45.84, 14
58.84, 20

=====

Lu3ZrHg2C2: simulated PXRD pattern (Cu Kα (weighted mean of Kα1 and Kα2)), based on a cell relaxed with PBE.
No peak broadening, texture or thermal motion is included.

Crystal structure
```
data_Lu3ZrHg2C2
_cell_length_a 3.4638
_cell_length_b 3.4638
_cell_length_c 15.3187
_cell_angle_alpha 90.00
_cell_angle_beta 90.00
_cell_angle_gamma 120.00
_space_group_name_H-M_alt 'P 3 m 1'
_space_group_IT_number 156
_space_group_name_Hall 'P 3 -2"'
loop_
_atom_site_label
_atom_site_type_symbol
_atom_site_fract_x
_atom_site_fract_y
_atom_site_fract_z
Lu1 Lu 0.0000 0.0000 0.0000
Lu2 Lu 0.0000 0.0000 0.3282
Lu3 Lu 0.6667 0.3333 0.8278
Zr1 Zr 0.6667 0.3333 0.4971
Hg1 Hg 0.0000 0.0000 0.6590
Hg2 Hg 0.6667 0.3333 0.1657
C1 C 0.3333 0.6667 0.4224
C2 C 0.3333 0.6667 0.9144
```

Largest 10 diffraction maxima, by angle, 2θ from 5° to 70°:
2θ/deg, I/Imax
5.77, 6
29.78, 23
34.68, 100
35.15, 20
46.72, 16
52.86, 21
61.86, 3
62.77, 18
64.78, 17
65.08, 21

=====

Sr2Si2AgGe: simulated PXRD pattern (Cu Kα (weighted mean of Kα1 and Kα2)), based on a cell relaxed with PBE.
No peak broadening, texture or thermal motion is included.

Crystal structure
```
data_Sr2Si2AgGe
_cell_length_a 8.594
_cell_length_b 9.289
_cell_length_c 14.836
_cell_angle_alpha 90.00
_cell_angle_beta 90.00
_cell_angle_gamma 90.00
_space_group_name_H-M_alt 'F m m m'
_space_group_IT_number 69
_space_group_name_Hall '-F 2 2'
loop_
_atom_site_label
_atom_site_type_symbol
_atom_site_fract_x
_atom_site_fract_y
_atom_site_fract_z
Sr1 Sr 0.000 0.246 0.000
Sr2 Sr 0.250 0.250 0.250
Si1 Si 0.247 0.000 0.079
Ag1 Ag 0.000 0.000 0.337
Ge1 Ge 0.000 0.000 0.162
```

Largest 10 diffraction maxima, by angle, 2θ from 5° to 70°:
2θ/deg, I/Imax
20.67, 8
28.30, 8
30.82, 100
38.78, 18
42.06, 14
42.17, 27
53.06, 15
58.59, 30
65.30, 11
69.89, 6

=====

AlAsPtO: simulated PXRD pattern (Cu Kα (weighted mean of Kα1 and Kα2)), based on a cell relaxed with PBE.
No peak broadening, texture or thermal motion is included.

Crystal structure
```
data_AlAsPtO
_cell_length_a 3.700
_cell_length_b 3.700
_cell_length_c 9.086
_cell_angle_alpha 90.00
_cell_angle_beta 90.00
_cell_angle_gamma 90.00
_space_group_name_H-M_alt 'P 4/n m m'
_space_group_IT_number 129
loop_
_space_group_symop_operation_xyz
'x,y,z'
'-x,-y,-z'
'-y+1/2,x,z'
'y+1/2,-x,-z'
'-x+1/2,-y+1/2,z'
'x+1/2,y+1/2,-z'
'y,-x+1/2,z'
'-y,x+1/2,-z'
'x+1/2,-y,-z'
'-x+1/2,y,z'
'-y,-x,-z'
'y,x,z'
'-x,y+1/2,-z'
'x,-y+1/2,z'
'y+1/2,x+1/2,-z'
'-y+1/2,-x+1/2,z'
loop_
_atom_site_label
_atom_site_type_symbol
_atom_site_fract_x
_atom_site_fract_y
_atom_site_fract_z
Al1 Al 0.250 0.250 0.081
As1 As 0.250 0.250 0.695
Pt1 Pt 0.250 0.750 0.500
O1 O 0.250 0.750 0.000
```

Largest 10 diffraction maxima, by angle, 2θ from 5° to 70°:
2θ/deg, I/Imax
9.73, 100
19.54, 20
26.00, 5
31.17, 5
35.71, 19
39.74, 37
45.83, 20
49.25, 13
50.33, 8
53.44, 14

=====

NdHoZn3: simulated PXRD pattern (Cu Kα (weighted mean of Kα1 and Kα2)), based on a cell relaxed with PBE.
No peak broadening, texture or thermal motion is included.

Crystal structure
```
data_NdHoZn3
_cell_length_a 5.7167
_cell_length_b 5.7167
_cell_length_c 8.0074
_cell_angle_alpha 90.00
_cell_angle_beta 90.00
_cell_angle_gamma 120.00
_space_group_name_H-M_alt 'P 6/m m m'
_space_group_IT_number 191
_space_group_name_Hall '-P 6 2'
loop_
_atom_site_label
_atom_site_type_symbol
_atom_site_fract_x
_atom_site_fract_y
_atom_site_fract_z
Nd1 Nd 0.3333 0.6667 0.0000
Ho1 Ho 0.0000 0.0000 0.2238
Zn1 Zn 0.0000 0.5000 0.3447
```

Largest 10 diffraction maxima, by angle, 2θ from 5° to 70°:
2θ/deg, I/Imax
28.68, 100
31.29, 56
33.28, 76
36.29, 63
38.05, 33
38.31, 56
42.96, 79
54.10, 35
56.09, 40
65.29, 32